[1]
Diffraction record for Li7Cr3W2O16. The powder X-ray diffraction pattern is computed, not measured: it uses a crystal structure in Alexandria, relaxed with GGA+U and λ = 1.5418 Å (Cu Kα).
Intensities are scaled so that the largest is 1000.

Crystal structure
Unit cell a=5.905 b=5.905 c=9.693 alpha=90.03 beta=90.03 gamma=59.83
Positions (direct):
Li 0.000 0.000 0.000
Li 0.330 0.839 0.696
Li 0.334 0.334 0.500
Li 0.503 0.503 0.198
Li 0.669 0.669 0.910
Li 0.676 0.676 0.419
Li 0.839 0.330 0.696
Cr 0.016 0.512 0.185
Cr 0.512 0.016 0.185
Cr 0.847 0.847 0.669
W 0.022 0.022 0.419
W 0.334 0.334 0.909
O 0.014 0.494 0.819
O 0.130 0.707 0.549
O 0.150 0.150 0.550
O 0.171 0.627 0.063
O 0.188 0.188 0.065
O 0.318 0.318 0.295
O 0.335 0.845 0.316
O 0.494 0.014 0.819
O 0.495 0.495 0.830
O 0.627 0.171 0.063
O 0.677 0.677 0.107
O 0.687 0.687 0.613
O 0.707 0.130 0.549
O 0.844 0.844 0.302
O 0.845 0.335 0.316
O 0.969 0.969 0.791

Top 12 peaks for 2θ from 10° to 90°, sorted by position:
Position (°2θ)  Rel. int.
17.35  208
19.64  1000
25.33  287
30.30  164
32.79  297
35.63  341
36.37  82
45.23  83
47.99  107
48.63  101
55.39  103
59.90  112

---

[2]
Diffraction record for CeVO4. The powder X-ray diffraction pattern is computed, not measured: it uses a crystal structure in Alexandria, relaxed with GGA+U and λ = 1.5418 Å (Cu Kα).
Intensities are scaled so that the largest is 1000.

Crystal structure
Unit cell a=7.009 b=7.424 c=6.830 alpha=90.00 beta=116.55 gamma=90.00
Positions (direct):
Ce 0.198 0.165 0.340
Ce 0.198 0.335 0.840
Ce 0.802 0.665 0.160
Ce 0.802 0.835 0.660
V 0.287 0.698 0.194
V 0.287 0.802 0.694
V 0.713 0.198 0.306
V 0.713 0.302 0.806
O 0.013 0.697 0.521
O 0.013 0.803 0.021
O 0.188 0.504 0.250
O 0.188 0.996 0.750
O 0.308 0.627 0.926
O 0.308 0.873 0.426
O 0.408 0.213 0.173
O 0.408 0.287 0.673
O 0.592 0.713 0.327
O 0.592 0.787 0.827
O 0.692 0.127 0.574
O 0.692 0.373 0.074
O 0.812 0.004 0.250
O 0.812 0.496 0.750
O 0.987 0.197 0.979
O 0.987 0.303 0.479

Top 12 peaks for 2θ from 10° to 90°, sorted by position:
Position (°2θ)  Rel. int.
18.52  448
18.81  267
23.97  476
26.12  201
28.15  1000
28.46  678
29.23  191
30.96  241
31.67  467
32.74  609
44.88  407
45.13  311